(1)
Diffraction record for AcInAg2. The powder X-ray diffraction pattern is calculated, not measured: it uses a crystal structure in the Materials Project, relaxed with PBE and Cu Kα (weighted mean of Kα1 and Kα2).
Kinematic intensities with the Lorentz-polarization factor, no thermal factor.

Principal peaks in the range 2θ = 15–90°, by angle:
| (hkl) | 2theta | intensity |
| --- | --- | --- |
| 1 1 1 | 20.7 | 7.4 |
| 2 2 0 | 34.1 | 100.0 |
| 4 0 0 | 49.0 | 17.8 |
| 4 2 2 | 61.0 | 36.3 |
| 4 4 0 | 71.7 | 11.2 |
| 6 2 0 | 81.9 | 15.8 |

Crystal structure
Unit cell a=7.4426 b=7.4426 c=7.4426 alpha=90.00 beta=90.00 gamma=90.00
Space group Fm-3m (No. 225)
Unique sites:
Ac: 0.0000 0.0000 0.0000 [4 per cell]
In: 0.0000 0.0000 0.5000 [4 per cell]
Ag: 0.2500 0.2500 0.2500 [8 per cell]



(2)
Diffraction record for K3Nb. The powder X-ray diffraction pattern is calculated, not measured: it uses a crystal structure in the Materials Project, relaxed with PBE and Cu Kα (weighted mean of Kα1 and Kα2).
Kinematic intensities with the Lorentz-polarization factor, no thermal factor.

Principal peaks in the range 2θ = 15–90°, by angle:
| (hkl) | 2theta | intensity |
| --- | --- | --- |
| 2 0 0 | 24.8 | 23.7 |
| 0 0 2 | 27.0 | 25.7 |
| 2 0 1 | 28.3 | 100.0 |
| 2 2 0 | 43.7 | 18.1 |
| 2 0 3 | 48.5 | 20.2 |
| 2 2 2 | 52.1 | 20.6 |

Crystal structure
Unit cell a=8.2918 b=8.2918 c=6.6070 alpha=90.00 beta=90.00 gamma=120.00
Space group P6_3/mmc (No. 194)
Unique sites:
K: 0.1771 0.3542 0.2500 [6 per cell]
Nb: 0.3333 0.6667 0.7500 [2 per cell]



(3)
Diffraction record for RbDy2Ag3Te5. The powder X-ray diffraction pattern is calculated, not measured: it uses a crystal structure in the Materials Project, relaxed with PBE and Cu Kα (weighted mean of Kα1 and Kα2).
Kinematic intensities with the Lorentz-polarization factor, no thermal factor.

Principal peaks in the range 2θ = 15–90°, by angle:
| (hkl) | 2theta | intensity |
| --- | --- | --- |
| 1 3 1 | 25.9 | 84.9 |
| 1 3 2 | 27.2 | 100.0 |
| 1 3 4 | 32.1 | 99.1 |
| 1 5 2 | 35.1 | 73.7 |
| 2 0 0 | 39.4 | 90.8 |
| 1 3 7 | 42.9 | 81.9 |

Crystal structure
Unit cell a=4.5783 b=16.3200 c=18.5015 alpha=90.00 beta=90.00 gamma=90.00
Space group Cmcm (No. 63)
Unique sites:
Rb: 0.0000 0.0575 0.2500 [4 per cell]
Dy: 0.0000 0.1911 0.5946 [8 per cell]
Ag: 0.0000 0.3362 0.2500 [4 per cell]
Ag: 0.0000 0.4158 0.5319 [8 per cell]
Te: 0.0000 0.1768 0.0720 [8 per cell]
Te: 0.0000 0.2607 0.7500 [4 per cell]
Te: 0.0000 0.4370 0.1213 [8 per cell]